Tb3RhPb: simulated powder diffraction line list (CuKα), based on a crystal structure in Alexandria, relaxed with GGA-PBE.
No peak broadening, texture or thermal motion is included.

Cell and atoms:
```
Tb3RhPb
1.0
5.748 0.000 0.000
0.000 6.772 0.000
-1.691 0.000 7.047
Tb Rh Pb
6 2 2
direct
0.135 0.250 0.115
0.327 0.011 0.702
0.327 0.489 0.702
0.673 0.511 0.298
0.673 0.989 0.298
0.865 0.750 0.885
0.390 0.750 0.991
0.610 0.250 0.009
0.176 0.750 0.320
0.824 0.250 0.680
```

The 10 most intense peaks (2θ = 5–70°), low angle first:
- d = 3.126 Å, intensity 55
- d = 2.896 Å, intensity 27
- d = 2.834 Å, intensity 71
- d = 2.799 Å, intensity 80
- d = 2.572 Å, intensity 100
- d = 2.383 Å, intensity 44
- d = 2.338 Å, intensity 29
- d = 2.272 Å, intensity 33
- d = 2.239 Å, intensity 29
- d = 1.632 Å, intensity 26



InAsBrO4: simulated powder diffraction line list (CuKα), based on a crystal structure in Alexandria, relaxed with GGA-PBE.
No peak broadening, texture or thermal motion is included.

Cell and atoms:
```
InAsBrO4
1.0
5.748 -3.073 0.000
5.748 3.073 0.000
-1.474 0.000 6.324
In As Br O
2 2 2 8
direct
0.202 0.202 0.335
0.798 0.798 0.665
0.135 0.135 0.771
0.865 0.865 0.229
0.471 0.471 0.819
0.529 0.529 0.181
0.012 0.012 0.234
0.036 0.614 0.385
0.223 0.223 0.019
0.386 0.964 0.615
0.614 0.036 0.385
0.777 0.777 0.981
0.964 0.386 0.615
0.988 0.988 0.766
```

The 10 most intense peaks (2θ = 5–70°), low angle first:
- d = 3.190 Å, intensity 100
- d = 3.162 Å, intensity 31
- d = 3.100 Å, intensity 31
- d = 3.072 Å, intensity 72
- d = 2.867 Å, intensity 29
- d = 2.649 Å, intensity 26
- d = 2.501 Å, intensity 20
- d = 2.204 Å, intensity 24
- d = 1.882 Å, intensity 18
- d = 1.623 Å, intensity 20



LaTb5Nd2Sc: simulated powder diffraction line list (CuKα), based on a crystal structure in Alexandria, relaxed with GGA-PBE.
No peak broadening, texture or thermal motion is included.

Cell and atoms:
```
LaTb5Nd2Sc
1.0
-4.358 4.358 7.769
4.358 -4.358 7.769
4.358 4.358 -7.769
La Tb Nd Sc
2 10 4 2
direct
0.250 0.250 0.000
0.750 0.750 0.000
0.000 0.000 0.000
0.066 0.566 0.910
0.156 0.066 0.500
0.344 0.844 0.910
0.434 0.344 0.500
0.500 0.500 0.000
0.566 0.656 0.500
0.656 0.156 0.090
0.844 0.934 0.500
0.934 0.434 0.090
0.119 0.381 0.500
0.381 0.881 0.261
0.619 0.119 0.739
0.881 0.619 0.500
0.250 0.750 0.500
0.750 0.250 0.500
```

The 10 most intense peaks (2θ = 5–70°), low angle first:
- d = 3.115 Å, intensity 75
- d = 3.082 Å, intensity 50
- d = 2.900 Å, intensity 100
- d = 2.756 Å, intensity 31
- d = 2.430 Å, intensity 15
- d = 2.389 Å, intensity 22
- d = 2.096 Å, intensity 22
- d = 1.957 Å, intensity 18
- d = 1.742 Å, intensity 17
- d = 1.565 Å, intensity 15